Structure and calculated powder diffraction line list of TlV2GaSb (a structure optimized by DFT (PBE); CuKα).
Neutral-atom scattering factors, no anomalous dispersion.

Atomic structure:
```
TlV2GaSb
1.0
5.1522 0.0000 0.0000
0.0000 5.1522 0.0000
0.0000 0.0000 5.3486
Tl V Ga Sb
1 2 1 1
direct
0.0000 0.0000 0.0000
0.0000 0.5000 0.5000
0.5000 0.0000 0.5000
0.5000 0.5000 0.0000
0.5000 0.5000 0.5000
```

Principal peaks in the range 10 to 90 degrees two-theta, in order of falling intensity:
Position (°2θ)	I_rel
24.0	100
34.8	78
24.4	67
29.7	62
49.1	58
42.7	44
33.5	43
41.9	33
61.6	29
50.1	27

=====

Structure and calculated powder diffraction line list of Ca2PHPd6 (a structure optimized by DFT (PBE); CuKα).
Neutral-atom scattering factors, no anomalous dispersion.

Atomic structure:
```
Ca2PHPd6
1.0
5.8787 0.0000 0.0000
0.0000 8.6619 0.0000
0.0000 0.0000 6.4504
Ca P H Pd
4 2 2 12
direct
0.2500 0.0179 0.2305
0.2500 0.4821 0.2305
0.7500 0.5179 0.7695
0.7500 0.9821 0.7695
0.2500 0.7500 0.7899
0.7500 0.2500 0.2101
0.2500 0.2500 0.6936
0.7500 0.7500 0.3064
0.0068 0.7500 0.4951
0.0098 0.2500 0.9422
0.2500 0.0128 0.7052
0.2500 0.4872 0.7052
0.4902 0.2500 0.9422
0.4932 0.7500 0.4951
0.5068 0.2500 0.5049
0.5098 0.7500 0.0578
0.7500 0.5128 0.2948
0.7500 0.9872 0.2948
0.9902 0.7500 0.0578
0.9932 0.2500 0.5049
```

Principal peaks in the range 10 to 90 degrees two-theta, in order of falling intensity:
Position (°2θ)	I_rel
37.0	100
34.7	95
41.6	66
41.7	41
60.4	40
20.5	38
74.2	18
63.3	12
73.0	12
78.7	12

=====

Structure and calculated powder diffraction line list of La3Cd4Pd4 (a structure optimized by DFT (PBE); CuKα).
Neutral-atom scattering factors, no anomalous dispersion.

Atomic structure:
```
La3Cd4Pd4
1.0
-2.1123 4.0622 7.5568
2.1123 -4.0622 7.5568
2.1123 4.0622 -7.5568
La Cd Pd
3 4 4
direct
0.0000 0.0000 0.0000
0.3785 0.8785 0.5000
0.6215 0.1215 0.5000
0.0206 0.3284 0.6922
0.3638 0.6716 0.6922
0.6362 0.3284 0.3078
0.9794 0.6716 0.3078
0.2298 0.2298 0.0000
0.3125 0.5000 0.8125
0.6875 0.5000 0.1875
0.7702 0.7702 0.0000
```

Principal peaks in the range 10 to 90 degrees two-theta, in order of falling intensity:
Position (°2θ)	I_rel
31.1	100
33.7	98
37.7	46
42.8	38
31.6	26
41.4	26
58.4	25
66.4	25
43.0	16
35.5	15

=====

Structure and calculated powder diffraction line list of KGe3Te3 (a structure optimized by DFT (PBE); CuKα).
Neutral-atom scattering factors, no anomalous dispersion.

Atomic structure:
```
KGe3Te3
1.0
4.5739 2.6407 6.4793
-4.5739 2.6407 6.4793
0.0000 -5.2815 6.4793
K Ge Te
2 6 6
direct
0.1649 0.1649 0.1649
0.8351 0.8351 0.8351
0.0736 0.7384 0.3589
0.2616 0.6411 0.9264
0.3589 0.0736 0.7384
0.6411 0.9264 0.2616
0.7384 0.3589 0.0736
0.9264 0.2616 0.6411
0.1204 0.4317 0.6830
0.3170 0.8796 0.5683
0.4317 0.6830 0.1204
0.5683 0.3170 0.8796
0.6830 0.1204 0.4317
0.8796 0.5683 0.3170
```

Principal peaks in the range 10 to 90 degrees two-theta, in order of falling intensity:
Position (°2θ)	I_rel
33.9	100
19.4	53
23.8	32
27.5	28
31.3	24
44.3	24
35.2	21
46.5	16
54.9	14
76.4	11

=====

Structure and calculated powder diffraction line list of Zr3Zn3Hg2 (a structure optimized by DFT (PBE); CuKα).
Neutral-atom scattering factors, no anomalous dispersion.

Atomic structure:
```
Zr3Zn3Hg2
1.0
4.1255 0.0000 0.0000
0.0000 13.9180 0.0000
-2.0626 0.0000 5.4789
Zr Zn Hg
6 6 4
direct
0.0587 0.1256 0.1166
0.0587 0.3744 0.1166
0.3575 0.2500 0.7128
0.6425 0.7500 0.2872
0.9413 0.6256 0.8834
0.9413 0.8744 0.8834
0.3727 0.7500 0.7468
0.4058 0.0430 0.8105
0.4058 0.4570 0.8105
0.5942 0.5430 0.1895
0.5942 0.9570 0.1895
0.6273 0.2500 0.2532
0.2260 0.5958 0.4531
0.2260 0.9042 0.4531
0.7740 0.0958 0.5469
0.7740 0.4042 0.5469
```

Principal peaks in the range 10 to 90 degrees two-theta, in order of falling intensity:
Position (°2θ)	I_rel
38.2	100
33.4	63
34.7	52
30.1	47
43.9	37
42.0	31
16.2	24
76.9	21
38.8	18
51.7	16

=====

Structure and calculated powder diffraction line list of ScIn3P4 (a structure optimized by DFT (PBE); CuKα).
Neutral-atom scattering factors, no anomalous dispersion.

Atomic structure:
```
ScIn3P4
1.0
4.2114 0.0000 0.0000
0.0000 4.2114 0.0000
0.0000 0.0000 11.8838
Sc In P
1 3 4
direct
0.0000 0.0000 0.0000
0.0000 0.0000 0.5000
0.5000 0.5000 0.2495
0.5000 0.5000 0.7505
0.0000 0.5000 0.1233
0.0000 0.5000 0.6249
0.5000 0.0000 0.3751
0.5000 0.0000 0.8767
```

Principal peaks in the range 10 to 90 degrees two-theta, in order of falling intensity:
Position (°2θ)	I_rel
25.9	100
43.0	58
50.9	45
30.0	22
68.8	17
78.7	12
84.6	10
78.9	6
62.4	6
53.3	6

=====

Structure and calculated powder diffraction line list of TcMo (a structure optimized by DFT (PBE); CuKα).
Neutral-atom scattering factors, no anomalous dispersion.

Atomic structure:
```
TcMo
1.0
2.6551 0.0000 0.0000
0.0000 5.2363 0.0000
-1.3023 0.0000 4.4499
Tc Mo
2 2
direct
0.0000 0.0000 0.0000
0.5000 0.5000 0.0000
0.0000 0.2522 0.5000
0.5000 0.7522 0.5000
```

Principal peaks in the range 10 to 90 degrees two-theta, in order of falling intensity:
Position (°2θ)	I_rel
40.0	100
39.4	53
39.3	52
40.5	48
49.1	27
49.4	26
64.8	23
72.1	16
73.4	16
81.2	12

=====

Structure and calculated powder diffraction line list of La4Dy15Ho (a structure optimized by DFT (PBE); CuKα).
Neutral-atom scattering factors, no anomalous dispersion.

Atomic structure:
```
La4Dy15Ho
1.0
5.0809 0.0000 0.0000
0.0000 5.0809 0.0000
0.0000 0.0000 25.2563
La Dy Ho
4 15 1
direct
0.0000 0.0000 0.1006
0.0000 0.0000 0.3005
0.0000 0.0000 0.6995
0.0000 0.0000 0.8994
0.0000 0.5000 0.0000
0.0000 0.5000 0.2011
0.0000 0.5000 0.4026
0.0000 0.5000 0.5974
0.0000 0.5000 0.7989
0.5000 0.0000 0.0000
0.5000 0.0000 0.2011
0.5000 0.0000 0.4026
0.5000 0.0000 0.5974
0.5000 0.0000 0.7989
0.5000 0.5000 0.1004
0.5000 0.5000 0.3019
0.5000 0.5000 0.5000
0.5000 0.5000 0.6981
0.5000 0.5000 0.8996
0.0000 0.0000 0.5000
```

Principal peaks in the range 10 to 90 degrees two-theta, in order of falling intensity:
Position (°2θ)	I_rel
30.5	100
35.3	34
60.5	29
51.0	24
35.5	17
60.7	14
63.6	12
50.8	12
83.1	12
82.8	6

=====

Structure and calculated powder diffraction line list of SrLaI5 (a structure optimized by DFT (PBE); CuKα).
Neutral-atom scattering factors, no anomalous dispersion.

Atomic structure:
```
SrLaI5
1.0
3.9892 -9.6848 0.0000
3.9892 9.6848 0.0000
-1.4976 0.0000 8.2130
Sr La I
2 2 10
direct
0.2032 0.7968 0.5000
0.7968 0.2032 0.0000
0.1397 0.9745 0.0297
0.9745 0.1397 0.5297
0.1477 0.4545 0.3078
0.1983 0.2959 0.8958
0.2959 0.1983 0.3958
0.4401 0.9750 0.2002
0.4545 0.1477 0.8078
0.5906 0.8805 0.6598
0.7814 0.8980 0.1612
0.8805 0.5906 0.1598
0.8980 0.7814 0.6612
0.9750 0.4401 0.7002
```

Principal peaks in the range 10 to 90 degrees two-theta, in order of falling intensity:
Position (°2θ)	I_rel
27.1	100
12.2	79
29.8	77
26.6	76
28.7	56
37.7	49
35.6	48
34.4	42
28.5	41
32.7	28

=====

Structure and calculated powder diffraction line list of FeTeBr7 (a structure optimized by DFT (PBE); CuKα).
Neutral-atom scattering factors, no anomalous dispersion.

Atomic structure:
```
FeTeBr7
1.0
7.0630 0.0000 0.0000
0.8931 9.2673 0.0000
3.1650 0.4581 11.0593
Fe Te Br
2 2 14
direct
0.0000 0.0000 0.0000
0.2361 0.4452 0.4011
0.4748 0.3654 0.9590
0.6787 0.8099 0.3987
0.0206 0.6421 0.4935
0.1680 0.3862 0.2199
0.1836 0.2489 0.5365
0.1959 0.4786 0.8767
0.3356 0.0576 0.9540
0.4154 0.9218 0.3029
0.4589 0.7925 0.6127
0.5711 0.4992 0.3603
0.6050 0.6002 0.9895
0.7198 0.3202 0.7568
0.7826 0.1993 0.0851
0.8179 0.0409 0.4289
0.9392 0.9218 0.8289
0.9748 0.7996 0.1433
```

Principal peaks in the range 10 to 90 degrees two-theta, in order of falling intensity:
Position (°2θ)	I_rel
30.6	100
25.6	38
16.0	38
15.6	34
29.6	34
27.3	33
26.4	32
25.3	31
44.7	27
43.0	24

=====

Structure and calculated powder diffraction line list of Dy4In2Ga (a structure optimized by DFT (PBE); CuKα).
Neutral-atom scattering factors, no anomalous dispersion.

Atomic structure:
```
Dy4In2Ga
1.0
7.7616 0.0000 0.0000
0.0000 3.5584 0.0000
-3.3434 0.0000 7.2552
Dy In Ga
4 2 1
direct
0.0703 0.0000 0.3180
0.3612 0.5000 0.7230
0.6388 0.5000 0.2770
0.9297 0.0000 0.6820
0.2049 0.5000 0.0367
0.7951 0.5000 0.9633
0.5000 0.0000 0.5000
```

Principal peaks in the range 10 to 90 degrees two-theta, in order of falling intensity:
Position (°2θ)	I_rel
33.8	100
35.8	61
32.6	54
43.4	32
27.9	29
32.8	27
28.1	25
51.6	23
26.9	19
62.1	17

=====

Structure and calculated powder diffraction line list of LiPaPt3 (a structure optimized by DFT (PBE); CuKα).
Neutral-atom scattering factors, no anomalous dispersion.

Atomic structure:
```
LiPaPt3
1.0
4.5001 0.0000 0.0000
0.0000 5.5568 0.0000
0.0000 0.0000 7.4959
Li Pa Pt
2 2 6
direct
0.2500 0.2500 0.1192
0.7500 0.7500 0.8808
0.2500 0.7500 0.4181
0.7500 0.2500 0.5819
0.2500 0.0024 0.7413
0.2500 0.4976 0.7413
0.2500 0.7500 0.0654
0.7500 0.2500 0.9346
0.7500 0.5024 0.2587
0.7500 0.9976 0.2587
```

Principal peaks in the range 10 to 90 degrees two-theta, in order of falling intensity:
Position (°2θ)	I_rel
40.0	100
41.3	58
25.5	54
40.4	39
58.2	27
19.9	21
35.1	18
39.5	17
82.2	17
23.1	15